No. 1
Diffraction record for Y2HoTl2Cd4. The PXRD pattern is simulated, not measured: it uses DFT lattice parameters and positions (GGA-PBE) and Cu Kα, 1.54184 Å.

Most intense lines, 2θ from 10° to 80°, by angle:
2θ = 23.55°, d 3.778, intensity 21, hkl 0 0 2; 2θ = 30.74°, d 2.909, intensity 75, hkl 1 3 1; 2θ = 33.72°, d 2.658, intensity 100, hkl 1 4 0; 2θ = 36.33°, d 2.473, intensity 41, hkl 0 1 3; 2θ = 39.52°, d 2.280, intensity 33, hkl 2 0 0; 2θ = 41.41°, d 2.180, intensity 27, hkl 0 6 0; 2θ = 41.55°, d 2.174, intensity 39, hkl 1 4 2; 2θ = 54.76°, d 1.676, intensity 24, hkl 2 1 3; 2θ = 58.58°, d 1.576, intensity 19, hkl 2 6 0; 2θ = 65.37°, d 1.428, intensity 18, hkl 0 3 5; 2θ = 65.50°, d 1.425, intensity 17, hkl 1 8 2; 2θ = 68.01°, d 1.379, intensity 13, hkl 3 4 0

Cell: 4.5605 13.0693 7.5612 Å, 90.00 90.00 90.00°
Space group Amm2 (No. 38)
Asymmetric unit:
Y (0.0000, 0.2133, 0.0000) [4 per cell]
Ho (0.0000, 0.0000, 0.3601) [2 per cell]
Tl (0.5000, 0.1661, 0.2868) [4 per cell]
Cd (0.0000, 0.0000, 0.7855) [2 per cell]
Cd (0.5000, 0.0000, 0.0266) [2 per cell]
Cd (0.5000, 0.1200, 0.6665) [4 per cell]

=====

No. 2
Diffraction record for Sr2TmP2. The PXRD pattern is simulated, not measured: it uses DFT lattice parameters and positions (GGA-PBE) and Cu Kα, 1.54184 Å.

Most intense lines, 2θ from 10° to 80°, by angle:
2θ = 15.27°, d 5.801, intensity 55, hkl 0 2 1; 2θ = 23.88°, d 3.726, intensity 52, hkl 1 1 1; 2θ = 24.62°, d 3.616, intensity 26, hkl 0 2 2; 2θ = 28.25°, d 3.159, intensity 100, hkl 1 3 1; 2θ = 30.81°, d 2.902, intensity 64, hkl 1 1 2; 2θ = 33.67°, d 2.662, intensity 41, hkl 1 5 0; 2θ = 34.38°, d 2.608, intensity 23, hkl 1 3 2; 2θ = 35.27°, d 2.545, intensity 38, hkl 0 2 3; 2θ = 41.52°, d 2.175, intensity 27, hkl 2 0 0; 2θ = 44.52°, d 2.035, intensity 27, hkl 0 8 1; 2θ = 48.89°, d 1.863, intensity 20, hkl 1 7 2; 2θ = 55.60°, d 1.653, intensity 37, hkl 2 2 3

Cell: 4.3498 16.8245 8.0104 Å, 90.00 90.00 90.00°
Space group Cmc2_1 (No. 36)
Asymmetric unit:
Sr (0.0000, 0.0541, 0.0000) [4 per cell]
Sr (0.0000, 0.2049, 0.3431) [4 per cell]
Tm (0.0000, 0.4067, 0.1384) [4 per cell]
P (0.0000, 0.1792, 0.7231) [4 per cell]
P (0.0000, 0.4492, 0.8059) [4 per cell]

=====

No. 3
Diffraction record for SrGa2IrPt. The PXRD pattern is simulated, not measured: it uses DFT lattice parameters and positions (GGA-PBE) and Cu Kα, 1.54184 Å.

Most intense lines, 2θ from 10° to 80°, by angle:
2θ = 17.31°, d 5.123, intensity 28, hkl 0 0 2; 2θ = 21.98°, d 4.044, intensity 22, hkl 1 0 1; 2θ = 30.01°, d 2.978, intensity 41, hkl 1 1 1; 2θ = 33.20°, d 2.698, intensity 58, hkl 1 0 3; 2θ = 33.70°, d 2.660, intensity 100, hkl 1 1 2; 2θ = 41.02°, d 2.200, intensity 86, hkl 2 0 0; 2θ = 45.88°, d 1.978, intensity 63, hkl 1 1 4; 2θ = 49.04°, d 1.858, intensity 22, hkl 1 0 5; 2θ = 53.75°, d 1.705, intensity 31, hkl 2 1 3; 2θ = 59.40°, d 1.556, intensity 29, hkl 2 2 0; 2θ = 70.06°, d 1.343, intensity 24, hkl 3 1 2; 2θ = 78.16°, d 1.223, intensity 27, hkl 3 1 4

Cell: 4.4009 4.4009 10.2465 Å, 90.00 90.00 90.00°
Space group P4/nmm (No. 129, origin choice 2)
Asymmetric unit:
Sr (0.2500, 0.2500, 0.2482) [2 per cell]
Ga (0.2500, 0.2500, 0.8702) [2 per cell]
Ga (0.2500, 0.7500, 0.5000) [2 per cell]
Ir (0.2500, 0.2500, 0.6257) [2 per cell]
Pt (0.2500, 0.7500, 0.0000) [2 per cell]

=====

No. 4
Diffraction record for NdDy2Mg4Tl2. The PXRD pattern is simulated, not measured: it uses DFT lattice parameters and positions (GGA-PBE) and Cu Kα, 1.54184 Å.

Most intense lines, 2θ from 10° to 80°, by angle:
2θ = 13.30°, d 6.657, intensity 44, hkl 0 2 0; 2θ = 13.45°, d 6.585, intensity 61, hkl 0 1 1; 2θ = 23.23°, d 3.829, intensity 28, hkl 0 3 1; 2θ = 30.13°, d 2.966, intensity 100, hkl 1 3 1; 2θ = 30.33°, d 2.947, intensity 55, hkl 1 0 2; 2θ = 33.00°, d 2.714, intensity 39, hkl 1 4 0; 2θ = 33.25°, d 2.695, intensity 86, hkl 1 2 2; 2θ = 38.39°, d 2.345, intensity 35, hkl 2 0 0; 2θ = 40.71°, d 2.217, intensity 16, hkl 0 6 0; 2θ = 41.13°, d 2.195, intensity 22, hkl 0 3 3; 2θ = 53.41°, d 1.715, intensity 18, hkl 2 5 1; 2θ = 64.40°, d 1.447, intensity 17, hkl 3 3 1

Cell: 4.6898 13.3138 7.5765 Å, 90.00 90.00 90.00°
Space group Amm2 (No. 38)
Asymmetric unit:
Nd (0.0000, 0.0000, 0.0000) [2 per cell]
Dy (0.0000, 0.2172, 0.6471) [4 per cell]
Mg (0.0000, 0.0000, 0.4388) [2 per cell]
Mg (0.5000, 0.0000, 0.6760) [2 per cell]
Mg (0.5000, 0.1210, 0.3115) [4 per cell]
Tl (0.5000, 0.1695, 0.9296) [4 per cell]

=====

No. 5
Diffraction record for ZrMo. The PXRD pattern is simulated, not measured: it uses DFT lattice parameters and positions (GGA-PBE) and Cu Kα, 1.54184 Å.

Most intense lines, 2θ from 10° to 80°, by angle:
2θ = 12.75°, d 6.943, intensity 3, hkl 0 2 0; 2θ = 36.72°, d 2.447, intensity 29, hkl 0 0 2; 2θ = 37.88°, d 2.375, intensity 100, hkl 2 3 1; 2θ = 38.91°, d 2.314, intensity 21, hkl 0 6 0; 2θ = 46.32°, d 1.960, intensity 2, hkl 2 5 1; 2θ = 54.58°, d 1.681, intensity 16, hkl 0 6 2; 2θ = 54.72°, d 1.678, intensity 8, hkl 4 0 0; 2θ = 66.90°, d 1.399, intensity 18, hkl 2 3 3; 2θ = 67.72°, d 1.384, intensity 8, hkl 4 0 2; 2θ = 69.17°, d 1.358, intensity 7, hkl 4 6 0; 2θ = 69.79°, d 1.348, intensity 12, hkl 2 9 1; 2θ = 78.11°, d 1.224, intensity 3, hkl 0 0 4

Cell: 6.7100 13.8861 4.8944 Å, 90.00 90.00 90.00°
Space group Pbcm (No. 57)
Asymmetric unit:
Zr (0.1083, 0.1623, 0.2500) [4 per cell]
Zr (0.3600, 0.6617, 0.2500) [4 per cell]
Zr (0.3763, 0.1511, 0.7500) [4 per cell]
Mo (0.1167, 0.0035, 0.7500) [4 per cell]
Mo (0.1284, 0.6518, 0.7500) [4 per cell]
Mo (0.3664, 0.5017, 0.7500) [4 per cell]

=====

No. 6
Diffraction record for ZrSe2O8. The PXRD pattern is simulated, not measured: it uses DFT lattice parameters and positions (GGA-PBE) and Cu Kα, 1.54184 Å.

Most intense lines, 2θ from 10° to 80°, by angle:
2θ = 24.53°, d 3.629, intensity 100, hkl 1 1 2; 2θ = 25.63°, d 3.476, intensity 37, hkl 2 1 0; 2θ = 25.82°, d 3.451, intensity 19, hkl 1 0 3; 2θ = 26.84°, d 3.321, intensity 92, hkl 2 1 1; 2θ = 28.60°, d 3.121, intensity 48, hkl 0 1 3; 2θ = 31.40°, d 2.849, intensity 23, hkl 3 0 1; 2θ = 31.78°, d 2.816, intensity 65, hkl 0 2 0; 2θ = 35.23°, d 2.547, intensity 39, hkl 2 1 3; 2θ = 45.22°, d 2.005, intensity 15, hkl 2 2 3; 2θ = 45.58°, d 1.990, intensity 21, hkl 0 2 4; 2θ = 47.52°, d 1.914, intensity 32, hkl 3 2 2; 2θ = 55.08°, d 1.667, intensity 16, hkl 5 1 1

Cell: 8.8351 5.6349 11.2457 Å, 90.00 90.00 90.00°
Space group Pnma (No. 62)
Asymmetric unit:
Zr (0.2446, 0.2500, 0.1102) [4 per cell]
Se (0.0062, 0.2500, 0.8424) [4 per cell]
Se (0.1513, 0.2500, 0.4086) [4 per cell]
O (0.0189, 0.7500, 0.6523) [4 per cell]
O (0.0579, 0.2500, 0.9847) [4 per cell]
O (0.1107, 0.5195, 0.1763) [8 per cell]
O (0.1354, 0.2500, 0.7406) [4 per cell]
O (0.1668, 0.0077, 0.4900) [8 per cell]
O (0.2118, 0.7500, 0.8074) [4 per cell]

=====

No. 7
Diffraction record for Cs4Dy3CdF12. The PXRD pattern is simulated, not measured: it uses DFT lattice parameters and positions (GGA-PBE) and Cu Kα, 1.54184 Å.

Most intense lines, 2θ from 10° to 80°, by angle:
2θ = 16.29°, d 5.442, intensity 15, hkl 1 0 1; 2θ = 16.90°, d 5.247, intensity 16, hkl 0 1 2; 2θ = 24.33°, d 3.659, intensity 51, hkl 1 0 7; 2θ = 28.04°, d 3.182, intensity 100, hkl 1 1 0; 2θ = 30.74°, d 2.909, intensity 21, hkl 1 0 10; 2θ = 37.46°, d 2.401, intensity 33, hkl 0 2 7; 2θ = 38.87°, d 2.317, intensity 11, hkl 2 0 8; 2θ = 40.34°, d 2.236, intensity 17, hkl 0 1 14; 2θ = 47.43°, d 1.917, intensity 17, hkl 2 1 7; 2θ = 49.62°, d 1.837, intensity 21, hkl 3 0 0; 2θ = 49.85°, d 1.829, intensity 12, hkl 2 0 14; 2θ = 57.96°, d 1.591, intensity 21, hkl 2 2 0

Cell: 6.3643 6.3643 34.2426 Å, 90.00 90.00 120.00°
Space group R-3m (No. 166, hexagonal axes)
Asymmetric unit:
Cs (0.0000, 0.0000, 0.1297) [6 per cell]
Cs (0.0000, 0.0000, 0.2832) [6 per cell]
Dy (0.0000, 0.0000, 0.4138) [6 per cell]
Dy (0.0000, 0.0000, 0.5000) [3 per cell]
Cd (0.0000, 0.0000, 0.0000) [3 per cell]
F (0.0128, 0.5064, 0.1275) [18 per cell]
F (0.0202, 0.5101, 0.7269) [18 per cell]